The following is a theoretical X-ray powder pattern of Li7MgZn4. It was derived from DFT lattice parameters and positions (PBE), using copper Kα.
Intensities are scaled so that the largest is 100.

Top 8 peaks for 15° ≤ 2θ ≤ 90°, in order of rising 2θ:
- hkl 1 1 0, 20.0 deg, d = 4.433 Å, I = 100
- hkl 1 1 1, 26.1 deg, d = 3.414 Å, I = 52
- hkl 4 0 -1, 28.7 deg, d = 3.115 Å, I = 26
- hkl 1 1 -2, 29.4 deg, d = 3.035 Å, I = 76
- hkl 0 2 0, 37.0 deg, d = 2.429 Å, I = 44
- hkl 0 0 3, 39.4 deg, d = 2.287 Å, I = 33
- hkl 1 1 -3, 40.5 deg, d = 2.230 Å, I = 24
- hkl 5 1 -1, 41.2 deg, d = 2.190 Å, I = 57

Crystal structure
Cell lengths 12.5646, 4.8585, 7.9603 Å; angles 90.00, 120.48, 90.00 degrees
Space group C2/m (No. 12)
Unique sites:
Li (0.0000, 0.0000, 0.0000) x2
Li (0.0809, 0.5000, 0.4300) x4
Li (0.2064, 0.5000, 0.8828) x4
Li (0.2416, 0.0000, 0.6979) x4
Mg (0.0000, 0.5000, 0.0000) x2
Zn (0.0374, 0.0000, 0.6949) x4
Zn (0.1777, 0.0000, 0.3386) x4